# CrP2O8
Simulated powder X-ray diffraction pattern, Cu Kα X-rays. Input: a DFT-relaxed cell (PBE+U, Alexandria).

Top 10 peaks for 10 to 90 degrees two-theta, by angle:
13.37°, intensity 61
20.33°, intensity 27
22.90°, intensity 100
27.52°, intensity 25
31.60°, intensity 16
34.89°, intensity 12
35.73°, intensity 10
37.18°, intensity 9
46.78°, intensity 7
55.77°, intensity 9

Cell lengths 5.196, 5.196, 13.834 Å; angles 104.66, 104.66, 57.24 degrees
Fractional positions:
Cr (0.000, 0.000, 0.000)
Cr (0.000, 0.000, 0.500)
P (0.341, 0.408, 0.610)
P (0.408, 0.341, 0.110)
P (0.592, 0.659, 0.890)
P (0.659, 0.592, 0.390)
O (0.113, 0.297, 0.588)
O (0.179, 0.758, 0.608)
O (0.227, 0.606, 0.048)
O (0.242, 0.821, 0.892)
O (0.297, 0.113, 0.088)
O (0.356, 0.473, 0.229)
O (0.394, 0.773, 0.452)
O (0.473, 0.356, 0.729)
O (0.527, 0.644, 0.271)
O (0.606, 0.227, 0.548)
O (0.644, 0.527, 0.771)
O (0.703, 0.887, 0.912)
O (0.758, 0.179, 0.108)
O (0.773, 0.394, 0.952)
O (0.821, 0.242, 0.392)
O (0.887, 0.703, 0.412)